For Pm4Nd15Dy, a structure optimized by DFT (GGA-PBE) gives the simulated PXRD pattern in this record (Cu Kα (λ = 1.5418 Å)).

Cell and atoms:
Unit cell a=5.193 b=5.193 c=25.902 alpha=90.00 beta=90.00 gamma=90.00
Atoms (fractional coordinates):
Pm (0.000, 0.000, 0.100)
Pm (0.000, 0.000, 0.301)
Pm (0.000, 0.000, 0.699)
Pm (0.000, 0.000, 0.900)
Nd (0.000, 0.500, 0.000)
Nd (0.000, 0.500, 0.201)
Nd (0.000, 0.500, 0.401)
Nd (0.000, 0.500, 0.599)
Nd (0.000, 0.500, 0.799)
Nd (0.500, 0.000, 0.000)
Nd (0.500, 0.000, 0.201)
Nd (0.500, 0.000, 0.401)
Nd (0.500, 0.000, 0.599)
Nd (0.500, 0.000, 0.799)
Nd (0.500, 0.500, 0.100)
Nd (0.500, 0.500, 0.301)
Nd (0.500, 0.500, 0.500)
Nd (0.500, 0.500, 0.699)
Nd (0.500, 0.500, 0.900)
Dy (0.000, 0.000, 0.500)

Most intense lines, 2θ from 15° to 90°, by angle:
- 29.82°, I = 100
- 34.57°, I = 51
- 49.70°, I = 36
- 59.01°, I = 29
- 59.12°, I = 14
- 61.95°, I = 12
- 80.66°, I = 6
- 80.76°, I = 12
- 83.19°, I = 5
- 83.24°, I = 5

***

For CsBaTlI4, a structure optimized by DFT (GGA-PBE) gives the simulated PXRD pattern in this record (Cu Kα (λ = 1.5418 Å)).

Cell and atoms:
Unit cell a=10.611 b=10.611 c=10.611 alpha=142.85 beta=142.85 gamma=53.55
Atoms (fractional coordinates):
Cs (0.000, 0.000, 0.000)
Ba (0.369, 0.369, 0.000)
Tl (0.721, 0.721, 0.000)
I (0.194, 0.194, 0.000)
I (0.378, 0.878, 0.500)
I (0.556, 0.556, 0.000)
I (0.878, 0.378, 0.500)

Most intense lines, 2θ from 15° to 90°, by angle:
- 18.56°, I = 53
- 20.82°, I = 50
- 26.37°, I = 100
- 26.49°, I = 43
- 26.98°, I = 37
- 28.26°, I = 27
- 37.64°, I = 39
- 38.07°, I = 32
- 39.04°, I = 45
- 47.73°, I = 25

***

For Na2NpTlS4, a structure optimized by DFT (GGA-PBE) gives the simulated PXRD pattern in this record (Cu Kα (λ = 1.5418 Å)).

Cell and atoms:
Unit cell a=6.956 b=4.057 c=7.619 alpha=90.00 beta=111.71 gamma=90.00
Atoms (fractional coordinates):
Na (0.000, 0.000, 0.000)
Na (0.000, 0.500, 0.500)
Np (0.500, 0.000, 0.500)
Tl (0.500, 0.500, 0.000)
S (0.271, 0.500, 0.283)
S (0.277, 0.000, 0.696)
S (0.723, 0.000, 0.304)
S (0.729, 0.500, 0.717)

Most intense lines, 2θ from 15° to 90°, by angle:
- 23.78°, I = 31
- 25.16°, I = 30
- 25.30°, I = 68
- 26.51°, I = 49
- 29.75°, I = 51
- 31.09°, I = 100
- 34.04°, I = 24
- 41.96°, I = 44
- 44.41°, I = 31
- 45.12°, I = 33

***

For LiCo3, a structure optimized by DFT (GGA-PBE) gives the simulated PXRD pattern in this record (Cu Kα (λ = 1.5418 Å)).

Cell and atoms:
Unit cell a=8.572 b=8.572 c=8.572 alpha=16.68 beta=16.68 gamma=16.68
Atoms (fractional coordinates):
Li (0.000, 0.000, 0.000)
Co (0.246, 0.246, 0.246)
Co (0.500, 0.500, 0.500)
Co (0.754, 0.754, 0.754)

Most intense lines, 2θ from 15° to 90°, by angle:
- 21.03°, I = 21
- 42.12°, I = 9
- 42.59°, I = 10
- 42.80°, I = 35
- 44.44°, I = 100
- 49.23°, I = 12
- 51.30°, I = 62
- 74.33°, I = 17
- 76.66°, I = 17
- 89.78°, I = 10

***

For Y2Tl3, a structure optimized by DFT (GGA-PBE) gives the simulated PXRD pattern in this record (Cu Kα (λ = 1.5418 Å)).

Cell and atoms:
Unit cell a=7.768 b=7.768 c=4.560 alpha=90.00 beta=90.00 gamma=90.00
Atoms (fractional coordinates):
Y (0.130, 0.695, 0.000)
Y (0.305, 0.130, 0.000)
Y (0.695, 0.870, 0.000)
Y (0.870, 0.305, 0.000)
Tl (0.000, 0.000, 0.500)
Tl (0.180, 0.395, 0.500)
Tl (0.395, 0.820, 0.500)
Tl (0.500, 0.500, 0.000)
Tl (0.605, 0.180, 0.500)
Tl (0.820, 0.605, 0.500)

Most intense lines, 2θ from 15° to 90°, by angle:
- 19.47°, I = 7
- 25.64°, I = 8
- 32.40°, I = 100
- 36.58°, I = 37
- 39.52°, I = 15
- 52.69°, I = 11
- 54.94°, I = 23
- 63.23°, I = 26
- 67.23°, I = 12
- 67.82°, I = 11

***

For TlAg5F7, a structure optimized by DFT (GGA-PBE) gives the simulated PXRD pattern in this record (Cu Kα (λ = 1.5418 Å)).

Cell and atoms:
Unit cell a=6.227 b=6.227 c=19.314 alpha=90.03 beta=90.03 gamma=35.34
Atoms (fractional coordinates):
Tl (0.000, 0.000, 0.000)
Tl (0.580, 0.580, 0.500)
Ag (0.069, 0.069, 0.319)
Ag (0.069, 0.069, 0.681)
Ag (0.251, 0.251, 0.104)
Ag (0.251, 0.251, 0.895)
Ag (0.329, 0.329, 0.395)
Ag (0.329, 0.329, 0.604)
Ag (0.511, 0.511, 0.181)
Ag (0.511, 0.511, 0.819)
Ag (0.790, 0.790, 0.249)
Ag (0.790, 0.790, 0.750)
F (0.157, 0.157, 0.214)
F (0.158, 0.158, 0.786)
F (0.245, 0.245, 0.500)
F (0.335, 0.335, 0.000)
F (0.423, 0.423, 0.286)
F (0.423, 0.423, 0.714)
F (0.622, 0.622, 0.088)
F (0.622, 0.622, 0.912)
F (0.695, 0.695, 0.643)
F (0.696, 0.696, 0.356)
F (0.885, 0.885, 0.143)
F (0.885, 0.885, 0.857)
F (0.959, 0.959, 0.412)
F (0.959, 0.959, 0.588)

Most intense lines, 2θ from 15° to 90°, by angle:
- 28.39°, I = 99
- 30.12°, I = 34
- 30.49°, I = 34
- 30.97°, I = 53
- 31.62°, I = 100
- 34.10°, I = 94
- 35.69°, I = 95
- 48.14°, I = 39
- 49.09°, I = 33
- 58.75°, I = 34

***

For Pr2Th3Se8, a structure optimized by DFT (GGA-PBE) gives the simulated PXRD pattern in this record (Cu Kα (λ = 1.5418 Å)).

Cell and atoms:
Unit cell a=7.519 b=4.290 c=13.696 alpha=90.00 beta=101.33 gamma=90.00
Atoms (fractional coordinates):
Pr (0.247, 0.000, 0.251)
Pr (0.753, 0.000, 0.749)
Th (0.245, 0.500, 0.734)
Th (0.500, 0.000, 0.000)
Th (0.755, 0.500, 0.266)
Se (0.121, 0.500, 0.368)
Se (0.142, 0.000, 0.869)
Se (0.380, 0.000, 0.629)
Se (0.380, 0.500, 0.124)
Se (0.620, 0.000, 0.371)
Se (0.620, 0.500, 0.876)
Se (0.858, 0.000, 0.131)
Se (0.879, 0.500, 0.632)

Most intense lines, 2θ from 15° to 90°, by angle:
- 24.26°, I = 16
- 29.73°, I = 100
- 29.86°, I = 50
- 41.74°, I = 40
- 42.12°, I = 20
- 42.96°, I = 17
- 43.52°, I = 33
- 51.68°, I = 10
- 52.48°, I = 21
- 61.73°, I = 12

***

For SrHg3Pd3, a structure optimized by DFT (GGA-PBE) gives the simulated PXRD pattern in this record (Cu Kα (λ = 1.5418 Å)).

Cell and atoms:
Unit cell a=9.055 b=4.477 c=9.064 alpha=90.00 beta=119.96 gamma=90.00
Atoms (fractional coordinates):
Sr (0.166, 0.250, 0.333)
Sr (0.834, 0.750, 0.667)
Hg (0.227, 0.250, 0.767)
Hg (0.268, 0.750, 0.041)
Hg (0.460, 0.750, 0.727)
Hg (0.540, 0.250, 0.273)
Hg (0.732, 0.250, 0.959)
Hg (0.773, 0.750, 0.233)
Pd (0.053, 0.250, 0.950)
Pd (0.103, 0.750, 0.552)
Pd (0.450, 0.750, 0.398)
Pd (0.550, 0.250, 0.602)
Pd (0.897, 0.250, 0.448)
Pd (0.947, 0.750, 0.050)

Most intense lines, 2θ from 15° to 90°, by angle:
- 19.59°, I = 24
- 28.02°, I = 15
- 30.13°, I = 19
- 30.29°, I = 29
- 36.33°, I = 100
- 40.29°, I = 25
- 41.49°, I = 17
- 46.39°, I = 12
- 54.97°, I = 14
- 70.66°, I = 14